SrCaYBiO6: theoretical X-ray diffraction stick pattern (Cu Kα), based on a cell relaxed with GGA-PBE.
Kinematic intensities with the Lorentz-polarization factor, no thermal factor.

Structural model:
```
data_SrCaYBiO6
_cell_length_a 8.466
_cell_length_b 8.476
_cell_length_c 8.478
_cell_angle_alpha 90.00
_cell_angle_beta 90.00
_cell_angle_gamma 90.00
_symmetry_space_group_name_H-M 'P 1'
_symmetry_Int_Tables_number 1
loop_
_symmetry_equiv_pos_as_xyz
'x,y,z'
loop_
_atom_site_label
_atom_site_fract_x
_atom_site_fract_y
_atom_site_fract_z
Sr1 0.000 0.000 0.000
Sr2 0.000 0.000 0.500
Sr3 0.500 0.000 0.000
Sr4 0.500 0.500 0.500
Ca1 0.000 0.500 0.000
Ca2 0.000 0.500 0.500
Ca3 0.500 0.000 0.500
Ca4 0.500 0.500 0.000
Y1 0.250 0.252 0.750
Y2 0.250 0.748 0.250
Y3 0.750 0.252 0.250
Y4 0.750 0.748 0.750
Bi1 0.250 0.253 0.250
Bi2 0.250 0.747 0.750
Bi3 0.750 0.253 0.750
Bi4 0.750 0.747 0.250
O1 0.007 0.215 0.200
O2 0.007 0.785 0.800
O3 0.194 0.493 0.296
O4 0.194 0.507 0.704
O5 0.216 0.203 0.493
O6 0.216 0.797 0.507
O7 0.293 0.308 0.008
O8 0.293 0.692 0.992
O9 0.294 0.007 0.214
O10 0.294 0.993 0.786
O11 0.494 0.286 0.297
O12 0.494 0.714 0.703
O13 0.506 0.286 0.703
O14 0.506 0.714 0.297
O15 0.706 0.007 0.786
O16 0.706 0.993 0.214
O17 0.707 0.308 0.992
O18 0.707 0.692 0.008
O19 0.784 0.203 0.507
O20 0.784 0.797 0.493
O21 0.806 0.493 0.704
O22 0.806 0.507 0.296
O23 0.993 0.215 0.800
O24 0.993 0.785 0.200
```

Principal peaks in the range 10° ≤ 2θ ≤ 80°, in order of rising 2θ:
- hkl 1 1 1, 18.13°, I 19
- hkl 2 0 0, 20.97°, I 27
- hkl 0 2 2, 29.82°, I 100
- hkl 3 1 1, 35.12°, I 11
- hkl 4 0 0, 42.68°, I 28
- hkl 0 4 2, 48.02°, I 13
- hkl 4 2 2, 52.94°, I 47
- hkl 4 0 4, 61.95°, I 16
- hkl 0 6 2, 70.23°, I 12
- hkl 6 2 0, 70.32°, I 6